For Sm12Y5Er2, DFT lattice parameters and positions (PBE) gives the simulated powder XRD pattern in this record (a wavelength of 1.5418 Å).
Peak positions follow from Bragg's law for the DFT cell and can differ from measured ones.

Unit cell a=6.881 b=9.053 c=11.096 alpha=108.11 beta=93.48 gamma=102.37
Space group P-1 (No. 2)
Inequivalent atoms, fractional coordinates:
Sm 0.012 0.128 0.421 (multiplicity 2)
Sm 0.043 0.080 0.899 (multiplicity 2)
Sm 0.130 0.728 0.278 (multiplicity 2)
Sm 0.361 0.249 0.230 (multiplicity 2)
Sm 0.374 0.345 0.708 (multiplicity 2)
Sm 0.475 0.884 0.107 (multiplicity 2)
Y 0.122 0.684 0.806 (multiplicity 2)
Y 0.247 0.468 0.018 (multiplicity 2)
Y 0.500 0.000 0.500 (multiplicity 1)
Er 0.263 0.552 0.493 (multiplicity 2)

Top 10 peaks for 2θ = 5–70°, low angle first:
15.64 deg, 5.665 Å, intensity 14, (0 1 1); 28.15 deg, 3.170 Å, intensity 17, (1 -1 3); 30.40 deg, 2.940 Å, intensity 41, (1 -3 1); 31.01 deg, 2.883 Å, intensity 39, (0 3 -2); 31.28 deg, 2.860 Å, intensity 57, (2 1 0); 31.37 deg, 2.852 Å, intensity 86, (-2 1 2); 31.57 deg, 2.834 Å, intensity 100, (0 2 2); 32.34 deg, 2.768 Å, intensity 50, (0 1 -4); 32.82 deg, 2.729 Å, intensity 31, (2 -2 2); 56.17 deg, 1.637 Å, intensity 18, (-2 3 4)

***

For Sm5Y4Er4, DFT lattice parameters and positions (PBE) gives the simulated powder XRD pattern in this record (a wavelength of 1.5418 Å).
Peak positions follow from Bragg's law for the DFT cell and can differ from measured ones.

Unit cell a=12.897 b=12.897 c=5.043 alpha=90.00 beta=90.00 gamma=90.00
Space group I4/m (No. 87)
Inequivalent atoms, fractional coordinates:
Sm 0.000 0.000 0.000 (multiplicity 2)
Sm 0.040 0.192 0.500 (multiplicity 8)
Y 0.077 0.384 0.000 (multiplicity 8)
Er 0.154 0.768 0.000 (multiplicity 8)

Top 10 peaks for 2θ = 5–70°, low angle first:
9.70 deg, 9.119 Å, intensity 5, (1 1 0); 13.73 deg, 6.448 Å, intensity 2, (2 0 0); 23.43 deg, 3.797 Å, intensity 3, (2 1 1); 30.64 deg, 2.918 Å, intensity 100, (3 2 1); 35.49 deg, 2.529 Å, intensity 34, (1 5 0); 35.60 deg, 2.522 Å, intensity 17, (0 0 2); 51.12 deg, 1.787 Å, intensity 36, (6 4 0); 60.74 deg, 1.525 Å, intensity 28, (8 1 1); 60.89 deg, 1.521 Å, intensity 14, (3 2 3); 63.80 deg, 1.459 Å, intensity 12, (6 4 2)